The following is a simulated PXRD pattern of LiTbAlAu2. It was derived from a cell relaxed with GGA-PBE, using CuKα.

Structure:
abc: 6.8959 6.8959 6.8959
angles: 146.73 146.73 47.76
Sites, in units of the cell vectors:
Li (0.0000, 0.0000, 0.0000)
Tb (0.7500, 0.2500, 0.5000)
Al (0.5000, 0.5000, 0.0000)
Au (0.1373, 0.6373, 0.5000)
Au (0.3627, 0.8627, 0.5000)

Largest 6 diffraction maxima, by angle, 2θ from 15° to 90°:
d = 2.878 Å, 2θ = 31.08°, rel. 1000
d = 2.792 Å, 2θ = 32.06°, rel. 934
d = 2.126 Å, 2θ = 42.53°, rel. 877
d = 1.974 Å, 2θ = 45.97°, rel. 440
d = 1.628 Å, 2θ = 56.53°, rel. 374
d = 1.446 Å, 2θ = 64.41°, rel. 518